Structure and computed powder X-ray diffraction pattern of Ho4Al12Os (a structure optimized by DFT (PBE); CuKα).
Intensities are scaled so that the largest is 100.

The 10 most intense peaks (2θ from 15° to 90°), low angle first:
20.58 deg, I = 25.9
25.28 deg, I = 14.6
29.27 deg, I = 100.0
36.05 deg, I = 42.0
39.05 deg, I = 15.7
41.87 deg, I = 45.2
51.91 deg, I = 39.2
60.71 deg, I = 29.1
68.80 deg, I = 19.8
83.91 deg, I = 22.3

```
Ho4Al12Os
1.0
-4.315 4.315 4.315
4.315 -4.315 4.315
4.315 4.315 -4.315
Ho Al Os
4 12 1
Cartesian
2.157 2.157 -2.157
2.157 -2.157 2.157
-2.157 2.157 2.157
2.157 2.157 2.157
2.480 0.000 0.000
6.150 0.000 0.000
4.315 2.157 0.000
4.315 0.000 2.157
0.000 2.480 0.000
0.000 0.000 2.480
2.157 4.315 0.000
2.157 0.000 4.315
0.000 6.150 0.000
0.000 0.000 6.150
0.000 4.315 2.157
0.000 2.157 4.315
0.000 0.000 0.000
```